The following is a simulated X-ray diffraction stick pattern of LaCd7Hg12. It was derived from a DFT-relaxed cell (GGA-PBE, Alexandria), using copper Kα.
Intensities are scaled so that the largest is 100.

Most intense lines, 10 to 90 degrees two-theta, in order of rising 2θ:
11.50°, intensity 31, hkl 1 1 0
19.98°, intensity 47, hkl 2 1 1
25.88°, intensity 90, hkl 3 0 1
30.73°, intensity 100, hkl 3 1 2
32.91°, intensity 54, hkl 4 0 0
36.93°, intensity 88, hkl 4 2 0
40.60°, intensity 97, hkl 4 2 2
48.78°, intensity 69, hkl 5 0 3
64.01°, intensity 52, hkl 6 2 4
67.79°, intensity 34, hkl 7 3 2

Structural model:
```
data_LaCd7Hg12
_chemical_formula_sum 'La2 Cd14 Hg24'
_cell_length_a 10.8847
_cell_length_b 10.8847
_cell_length_c 10.8847
_cell_angle_alpha 90.00
_cell_angle_beta 90.00
_cell_angle_gamma 90.00
_symmetry_space_group_name_H-M 'I m -3'
_symmetry_Int_Tables_number 204
_symmetry_space_group_name_Hall '-I 2 2 3'
loop_
_atom_site_label
_atom_site_type_symbol
_atom_site_fract_x
_atom_site_fract_y
_atom_site_fract_z
_atom_site_occupancy
La1 La 0.0000 0.0000 0.0000 1
Cd1 Cd 0.0000 0.0000 0.5000 1
Cd2 Cd 0.2500 0.2500 0.2500 1
Hg1 Hg 0.0000 0.2760 0.1522 1
```